1.
Computed powder diffraction line list of LaMg14Co for CuKα, from the PBE geometry in Alexandria.

Structure:
Lattice parameters (Å, degrees): 10.332 6.076 11.745 90.00 90.00 90.00
Space group Amm2 (No. 38)
Asymmetric unit:
La  0.000  0.000  0.000 [2 per cell]
Mg  0.000  0.236  0.256 [4 per cell]
Mg  0.200  0.000  0.615 [4 per cell]
Mg  0.251  0.246  0.386 [8 per cell]
Mg  0.267  0.000  0.144 [4 per cell]
Mg  0.500  0.000  0.486 [2 per cell]
Mg  0.500  0.000  0.977 [2 per cell]
Mg  0.500  0.245  0.732 [4 per cell]
Co  0.000  0.000  0.457 [2 per cell]

Most intense lines, 15° ≤ 2θ ≤ 90°, low angle first:
- 2θ 15.09, intensity 29
- 2θ 17.16, intensity 23
- 2θ 17.37, intensity 37
- 2θ 22.93, intensity 17
- 2θ 30.80, intensity 16
- 2θ 33.20, intensity 46
- 2θ 34.73, intensity 44
- 2θ 35.15, intensity 78
- 2θ 37.61, intensity 100
- 2θ 48.81, intensity 27
- 2θ 64.15, intensity 18
- 2θ 72.40, intensity 17

2.
Computed powder diffraction line list of K3Zn2H7 for CuKα, from the PBE geometry in Alexandria.

Structure:
Lattice parameters (Å, degrees): 3.925 21.363 3.803 90.00 90.00 90.00
Space group Cmmm (No. 65)
Asymmetric unit:
K  0.000  0.000  0.000 [2 per cell]
K  0.000  0.176  0.000 [4 per cell]
Zn  0.000  0.410  0.500 [4 per cell]
H  0.000  0.089  0.500 [4 per cell]
H  0.000  0.324  0.500 [4 per cell]
H  0.000  0.411  0.000 [4 per cell]
H  0.000  0.500  0.500 [2 per cell]

Most intense lines, 15° ≤ 2θ ≤ 90°, low angle first:
- 2θ 16.60, intensity 22
- 2θ 24.85, intensity 13
- 2θ 28.82, intensity 23
- 2θ 30.94, intensity 85
- 2θ 33.06, intensity 100
- 2θ 34.51, intensity 73
- 2θ 37.32, intensity 19
- 2θ 46.26, intensity 18
- 2θ 47.83, intensity 16
- 2θ 58.06, intensity 25
- 2θ 58.30, intensity 31
- 2θ 58.98, intensity 28

3.
Computed powder diffraction line list of DyTmHgRu for CuKα, from the PBE geometry in Alexandria.

Structure:
Lattice parameters (Å, degrees): 3.452 3.452 7.470 90.00 90.00 90.00
Space group P4mm (No. 99)
Asymmetric unit:
Dy  0.000  0.000  0.000 [1 per cell]
Tm  0.000  0.000  0.560 [1 per cell]
Hg  0.500  0.500  0.285 [1 per cell]
Ru  0.500  0.500  0.776 [1 per cell]

Most intense lines, 15° ≤ 2θ ≤ 90°, low angle first:
- 2θ 28.48, intensity 12
- 2θ 35.41, intensity 100
- 2θ 36.82, intensity 48
- 2θ 48.77, intensity 8
- 2θ 52.50, intensity 7
- 2θ 53.05, intensity 17
- 2θ 62.63, intensity 15
- 2θ 65.41, intensity 34
- 2θ 74.92, intensity 9
- 2θ 78.33, intensity 5
- 2θ 89.01, intensity 8
- 2θ 89.84, intensity 8